1.
Computed powder XRD pattern
Compound: Li3Pd4Pt
Radiation: Cu Kα X-rays
Structure: a GGA-PBE-relaxed structure
Neutral-atom scattering factors, no anomalous dispersion.

Most intense lines, 2θ = 5–70°, low angle first:
two_theta  d/Å  intensity
19.9  4.471  32.5
22.4  3.974  87.5
25.4  3.503  87.0
29.5  3.026  36.0
37.8  2.377  28.6
38.0  2.365  42.5
40.3  2.236  63.1
41.7  2.166  21.2
42.9  2.110  85.5
43.1  2.099  100.0
43.7  2.072  80.8
68.5  1.370  25.8

abc: 4.7547 5.2153 5.4555
angles: 103.85 90.06 117.09
Atoms (fractional coordinates):
1 Li 0.0000 0.0000 0.0000
2 Li 0.0744 0.4998 0.3755
3 Li 0.5744 0.4999 0.6237
4 Pd 0.0812 0.4908 0.8728
5 Pd 0.4872 0.9945 0.2516
6 Pd 0.4927 0.0053 0.7483
7 Pd 0.5906 0.5092 0.1266
8 Pt 0.9894 0.0001 0.5001


2.
Computed powder XRD pattern
Compound: Li6PdPt2
Radiation: Cu Kα X-rays
Structure: a GGA-PBE-relaxed structure
Neutral-atom scattering factors, no anomalous dispersion.

Most intense lines, 2θ = 5–70°, low angle first:
two_theta  d/Å  intensity
17.8  4.972  6.1
24.5  3.633  100.0
26.1  3.409  2.4
33.1  2.704  14.5
39.5  2.282  1.8
41.6  2.169  56.5
43.1  2.097  27.2
50.2  1.816  14.6
55.4  1.657  20.3
61.5  1.508  18.0
68.3  1.373  11.6
69.5  1.352  2.2

abc: 4.9908 4.9908 4.9908
angles: 93.42 93.42 93.42
Atoms (fractional coordinates):
1 Li 0.0000 0.3327 0.6673
2 Li 0.0000 0.6673 0.3327
3 Li 0.3327 0.0000 0.6673
4 Li 0.3327 0.6673 0.0000
5 Li 0.6673 0.0000 0.3327
6 Li 0.6673 0.3327 0.0000
7 Pd 0.5000 0.5000 0.5000
8 Pt 0.1663 0.1663 0.1663
9 Pt 0.8337 0.8337 0.8337


3.
Computed powder XRD pattern
Compound: Li8Pd2Pt
Radiation: Cu Kα X-rays
Structure: a GGA-PBE-relaxed structure
Neutral-atom scattering factors, no anomalous dispersion.

Most intense lines, 2θ = 5–70°, low angle first:
two_theta  d/Å  intensity
15.5  5.717  30.4
25.2  3.535  100.0
26.2  3.407  72.5
27.4  3.251  39.3
30.8  2.901  44.7
39.4  2.287  31.3
41.7  2.164  52.8
42.9  2.106  15.5
47.2  1.927  19.0
47.7  1.906  13.7
51.0  1.792  23.3
51.7  1.768  13.6

abc: 7.1419 7.1419 7.1419
angles: 145.69 125.85 65.69
Atoms (fractional coordinates):
1 Li 0.1387 0.3530 0.7856
2 Li 0.1520 0.1520 0.0000
3 Li 0.2948 0.0000 0.2948
4 Li 0.4326 0.6470 0.7856
5 Li 0.5674 0.3530 0.2144
6 Li 0.7052 0.0000 0.7052
7 Li 0.8480 0.8480 0.0000
8 Li 0.8613 0.6470 0.2144
9 Pd 0.2982 0.7982 0.5000
10 Pd 0.7018 0.2018 0.5000
11 Pt 0.0000 0.5000 0.5000


4.
Computed powder XRD pattern
Compound: Li4Pd2Pt
Radiation: Cu Kα X-rays
Structure: a GGA-PBE-relaxed structure
Neutral-atom scattering factors, no anomalous dispersion.

Most intense lines, 2θ = 5–70°, low angle first:
two_theta  d/Å  intensity
18.0  4.917  100.0
27.8  3.210  31.7
29.4  3.042  44.7
30.1  2.973  77.5
41.6  2.172  43.7
42.5  2.127  73.9
42.7  2.119  19.7
43.4  2.087  14.2
46.7  1.946  17.5
52.6  1.739  17.5
60.6  1.529  13.7
69.4  1.354  14.3

abc: 5.1644 5.1644 4.2379
angles: 90.00 90.00 107.81
Atoms (fractional coordinates):
1 Li 0.0000 0.5000 0.5000
2 Li 0.2169 0.2169 0.0000
3 Li 0.5000 0.0000 0.5000
4 Li 0.7831 0.7831 0.0000
5 Pd 0.2794 0.7206 0.0000
6 Pd 0.7206 0.2794 0.0000
7 Pt 0.5000 0.5000 0.5000


5.
Computed powder XRD pattern
Compound: Li6Pd2Pt3
Radiation: Cu Kα X-rays
Structure: a GGA-PBE-relaxed structure
Neutral-atom scattering factors, no anomalous dispersion.

Most intense lines, 2θ = 5–70°, low angle first:
two_theta  d/Å  intensity
11.8  7.481  81.0
19.2  4.614  87.1
23.0  3.868  37.3
27.9  3.195  22.3
29.9  2.990  68.2
36.5  2.463  26.1
40.3  2.239  100.0
40.8  2.214  60.8
42.4  2.130  22.1
46.2  1.966  43.2
53.8  1.703  38.4
64.7  1.442  15.9

abc: 7.8813 7.8813 2.7469
angles: 90.00 90.00 108.34
Atoms (fractional coordinates):
1 Li 0.1342 0.4210 0.0000
2 Li 0.1383 0.8617 0.0000
3 Li 0.4210 0.1342 0.0000
4 Li 0.5790 0.8658 0.0000
5 Li 0.8617 0.1383 0.0000
6 Li 0.8658 0.5790 0.0000
7 Pd 0.1497 0.1497 0.5000
8 Pd 0.8503 0.8503 0.5000
9 Pt 0.3113 0.6887 0.5000
10 Pt 0.5000 0.5000 0.0000
11 Pt 0.6887 0.3113 0.5000


6.
Computed powder XRD pattern
Compound: Li14PdPt
Radiation: Cu Kα X-rays
Structure: a GGA-PBE-relaxed structure
Neutral-atom scattering factors, no anomalous dispersion.

Most intense lines, 2θ = 5–70°, low angle first:
two_theta  d/Å  intensity
10.7  8.231  100.0
21.6  4.116  20.3
21.9  4.057  38.4
24.5  3.639  58.8
30.9  2.889  32.4
31.2  2.869  15.9
33.1  2.709  25.7
38.2  2.354  29.7
39.7  2.273  16.6
45.8  1.983  13.0
51.6  1.772  15.6
55.3  1.660  12.6

abc: 5.7377 5.7377 8.2314
angles: 90.00 90.00 90.00
Atoms (fractional coordinates):
1 Li 0.0000 0.0000 0.0000
2 Li 0.0000 0.5000 0.0000
3 Li 0.0000 0.5000 0.5000
4 Li 0.2472 0.2472 0.2825
5 Li 0.2472 0.2472 0.7175
6 Li 0.2472 0.7528 0.2825
7 Li 0.2472 0.7528 0.7175
8 Li 0.5000 0.0000 0.0000
9 Li 0.5000 0.0000 0.5000
10 Li 0.5000 0.5000 0.0000
11 Li 0.7528 0.2472 0.2825
12 Li 0.7528 0.2472 0.7175
13 Li 0.7528 0.7528 0.2825
14 Li 0.7528 0.7528 0.7175
15 Pd 0.5000 0.5000 0.5000
16 Pt 0.0000 0.0000 0.5000